Theoretical X-ray powder pattern
Compound: Tb3PrPd12
Radiation: CuKα
Structure: a DFT-relaxed cell (PBE, Alexandria)
Kinematic intensities with the Lorentz-polarization factor, no thermal factor.

Top 10 peaks for 2θ = 10–80°, sorted by position:
d (Å)	intensity
4.149	2
2.939	2
2.399	100
2.085	16
2.074	33
1.471	21
1.467	11
1.256	12
1.251	25
1.200	11

Crystal structure
```
data_Tb3PrPd12
_chemical_formula_sum 'Tb3 Pr1 Pd12'
_symmetry_space_group_name_H-M 'P 1'
_symmetry_Int_Tables_number 1
_cell_length_a 4.149
_cell_length_b 4.149
_cell_length_c 16.679
_cell_angle_alpha 90.00
_cell_angle_beta 90.00
_cell_angle_gamma 90.00
loop_
_symmetry_equiv_pos_as_xyz
'x,y,z'
loop_
_atom_site_label
_atom_site_type_symbol
_atom_site_fract_x
_atom_site_fract_y
_atom_site_fract_z
Tb1 Tb 0.000 0.000 0.000
Tb2 Tb 0.000 0.000 0.247
Tb3 Tb 0.000 0.000 0.753
Pr1 Pr 0.000 0.000 0.500
Pd1 Pd 0.000 0.500 0.124
Pd2 Pd 0.000 0.500 0.370
Pd3 Pd 0.000 0.500 0.630
Pd4 Pd 0.000 0.500 0.876
Pd5 Pd 0.500 0.000 0.124
Pd6 Pd 0.500 0.000 0.370
Pd7 Pd 0.500 0.000 0.630
Pd8 Pd 0.500 0.000 0.876
Pd9 Pd 0.500 0.500 0.000
Pd10 Pd 0.500 0.500 0.248
Pd11 Pd 0.500 0.500 0.500
Pd12 Pd 0.500 0.500 0.752
```